Diffraction record for Nd2Ho2Tm5. The powder diffraction line list is computed, not measured: it uses a GGA-PBE-relaxed structure and Cu Kα X-rays.

Largest 10 diffraction maxima, in order of falling intensity, 10° ≤ 2θ ≤ 90°:
36.5 deg, rel. 100, (5 1 1); 30.0 deg, rel. 78, (3 1 -1); 35.1 deg, rel. 75, (3 1 -2); 30.2 deg, rel. 71, (4 0 2); 33.0 deg, rel. 70, (2 0 -3); 33.8 deg, rel. 52, (8 0 -1); 25.8 deg, rel. 42, (6 0 -1); 28.1 deg, rel. 42, (1 1 -1); 28.6 deg, rel. 41, (1 1 1); 43.0 deg, rel. 34, (7 1 -2)

Structure:
Unit cell a=21.4730 b=3.4674 c=8.1632 alpha=90.00 beta=99.99 gamma=90.00
Space group C2/m (No. 12)
Inequivalent atoms, fractional coordinates:
Nd 0.1816 0.0000 0.1429
Ho 0.0463 0.5000 0.3549
Tm 0.0000 0.0000 0.0000
Tm 0.0960 0.0000 0.7311
Tm 0.1906 0.5000 0.5297